This entry pairs a crystal structure of LiPa3Pt4 with its simulated XRD peak list. Radiation: Cu Ka. Structure: DFT lattice parameters and positions (GGA-PBE).
Neutral-atom scattering factors, no anomalous dispersion.

Structural model:
```
data_LiPa3Pt4
_symmetry_space_group_name_H-M 'C 1 2/m 1'
_symmetry_Int_Tables_number 12
_cell_length_a 13.983
_cell_length_b 4.437
_cell_length_c 5.316
_cell_angle_alpha 90.00
_cell_angle_beta 106.28
_cell_angle_gamma 90.00
loop_
_symmetry_equiv_pos_as_xyz
'x,y,z'
'-x,-y,-z'
'-x,y,-z'
'x,-y,z'
'x+1/2,y+1/2,z'
'-x+1/2,-y+1/2,-z'
'-x+1/2,y+1/2,-z'
'x+1/2,-y+1/2,z'
loop_
_atom_site_label
_atom_site_type_symbol
_atom_site_fract_x
_atom_site_fract_y
_atom_site_fract_z
Li1 Li 0.000 0.000 0.000
Pa1 Pa 0.000 0.500 0.500
Pa2 Pa 0.233 0.000 0.307
Pt1 Pt 0.110 0.500 0.089
Pt2 Pt 0.135 0.000 0.741
```

Most intense lines, 5 to 70 degrees two-theta, low angle first:
index  d (Å)  2theta  I (rel.)
4 0 -1  3.254  27.41  28
3 1 0  3.150  28.33  30
2 0 -2  2.644  33.91  35
3 1 1  2.471  36.35  100
5 1 -1  2.312  38.95  81
1 1 -2  2.273  39.66  64
0 2 0  2.218  40.67  49
2 2 -2  1.699  53.96  20
6 0 -3  1.585  58.21  14
2 0 3  1.549  59.71  14

=====

This entry pairs a crystal structure of LiPa2Si3Pt4 with its simulated XRD peak list. Radiation: Cu Ka. Structure: DFT lattice parameters and positions (GGA-PBE).
Neutral-atom scattering factors, no anomalous dispersion.

Structural model:
```
data_LiPa2Si3Pt4
_symmetry_space_group_name_H-M 'P -4 m 2'
_symmetry_Int_Tables_number 115
_cell_length_a 4.151
_cell_length_b 4.151
_cell_length_c 10.056
_cell_angle_alpha 90.00
_cell_angle_beta 90.00
_cell_angle_gamma 90.00
loop_
_symmetry_equiv_pos_as_xyz
'x,y,z'
'y,-x,-z'
'-x,-y,z'
'-y,x,-z'
'-x,y,z'
'-y,-x,-z'
'x,-y,z'
'y,x,-z'
loop_
_atom_site_label
_atom_site_type_symbol
_atom_site_fract_x
_atom_site_fract_y
_atom_site_fract_z
Li1 Li 0.000 0.000 0.000
Pa1 Pa 0.000 0.500 0.755
Si1 Si 0.000 0.500 0.368
Si2 Si 0.500 0.500 0.000
Pt1 Pt 0.000 0.000 0.500
Pt2 Pt 0.000 0.500 0.134
Pt3 Pt 0.500 0.500 0.500
```

Most intense lines, 5 to 70 degrees two-theta, low angle first:
index  d (Å)  2theta  I (rel.)
0 0 3  3.352  26.59  27
1 0 2  3.201  27.87  19
1 1 0  2.935  30.45  20
1 1 1  2.818  31.76  53
1 0 3  2.608  34.39  64
1 1 2  2.535  35.41  100
2 0 0  2.076  43.61  58
1 0 5  1.810  50.42  31
2 1 3  1.624  56.68  32
2 1 5  1.364  68.82  25